This entry pairs a crystal structure of Pm2MnFeGe6 with its calculated powder XRD pattern. Radiation: Cu Kα X-rays. Structure: a DFT-relaxed cell (PBE, Alexandria).
No peak broadening, texture or thermal motion is included.

The 8 most intense peaks (15° ≤ 2θ ≤ 90°), most intense first:
- 2.742 Å, 2θ 32.7, intensity 100
- 2.444 Å, 2θ 36.8, intensity 100
- 1.853 Å, 2θ 49.2, intensity 75
- 3.706 Å, 2θ 24.0, intensity 49
- 1.417 Å, 2θ 65.9, intensity 32
- 2.039 Å, 2θ 44.4, intensity 30
- 3.119 Å, 2θ 28.6, intensity 29
- 2.300 Å, 2θ 39.2, intensity 23

Cell and atoms:
Lattice parameters (Å, degrees): 9.7799 9.7799 9.7799 44.54 44.54 44.54
Element x y z (fractional)
Pm  0.1312  0.1312  0.1312
Pm  0.2882  0.2882  0.2882
Pm  0.7118  0.7118  0.7118
Pm  0.8688  0.8688  0.8688
Mn  0.0000  0.0000  0.0000
Mn  0.5000  0.5000  0.5000
Fe  0.4028  0.4028  0.4028
Fe  0.5972  0.5972  0.5972
Ge  0.1294  0.6150  0.6150
Ge  0.2067  0.2067  0.7239
Ge  0.2067  0.7239  0.2067
Ge  0.2761  0.7933  0.7933
Ge  0.3850  0.3850  0.8706
Ge  0.3850  0.8706  0.3850
Ge  0.6150  0.1294  0.6150
Ge  0.6150  0.6150  0.1294
Ge  0.7239  0.2067  0.2067
Ge  0.7933  0.2761  0.7933
Ge  0.7933  0.7933  0.2761
Ge  0.8706  0.3850  0.3850